No. 1
Structure and theoretical X-ray powder pattern of Cs2NaVF6 (a structure optimized by DFT (PBE+U); Cu Kα (λ = 1.5418 Å)).
Kinematic intensities with the Lorentz-polarization factor, no thermal factor.

Crystal structure
abc: 6.3740 6.3740 31.2993
angles: 90.00 90.00 120.00
Space group R-3m (No. 166, hexagonal axes)
Unique sites:
1 Cs 0.0000 0.0000 0.1280
2 Cs 0.0000 0.0000 0.2824
3 Na 0.0000 0.0000 0.4029
4 V 0.0000 0.0000 0.0000
5 V 0.0000 0.0000 0.5000
6 F 0.0358 0.5179 0.7028
7 F 0.0475 0.5237 0.1281

The 10 most intense peaks (2θ from 15° to 90°), in order of rising 2θ:
| d [Å] | 2θ/deg | Rel. int. |
| --- | --- | --- |
| 4.140 | 21.46 | 34.0 |
| 3.475 | 25.64 | 52.0 |
| 3.188 | 27.99 | 100.0 |
| 2.608 | 34.39 | 13.3 |
| 2.525 | 35.55 | 30.2 |
| 2.349 | 38.32 | 43.6 |
| 2.071 | 43.72 | 15.0 |
| 1.891 | 48.13 | 14.0 |
| 1.840 | 49.54 | 14.5 |
| 1.594 | 57.86 | 18.7 |



No. 2
Structure and theoretical X-ray powder pattern of CrCo3O8 (a structure optimized by DFT (PBE+U); Cu Kα (λ = 1.5418 Å)).
Kinematic intensities with the Lorentz-polarization factor, no thermal factor.

Crystal structure
abc: 5.6847 5.6847 14.2514
angles: 90.00 90.00 120.00
Space group R-3m (No. 166, hexagonal axes)
Unique sites:
1 Cr 0.0000 0.0000 0.0000
2 Co 0.0000 0.5000 0.5000
3 O 0.0000 0.0000 0.2343
4 O 0.0392 0.5196 0.7583

The 10 most intense peaks (2θ from 15° to 90°), in order of rising 2θ:
| d [Å] | 2θ/deg | Rel. int. |
| --- | --- | --- |
| 4.750 | 18.68 | 48.0 |
| 4.653 | 19.07 | 100.0 |
| 2.467 | 36.42 | 11.6 |
| 2.439 | 36.85 | 23.9 |
| 2.426 | 37.06 | 14.8 |
| 2.327 | 38.70 | 11.6 |
| 2.025 | 44.75 | 68.5 |
| 1.558 | 59.31 | 9.4 |
| 1.443 | 64.58 | 17.9 |
| 1.421 | 65.70 | 17.3 |



No. 3
Structure and theoretical X-ray powder pattern of MgVO3 (a structure optimized by DFT (PBE+U); Cu Kα (λ = 1.5418 Å)).
Kinematic intensities with the Lorentz-polarization factor, no thermal factor.

Crystal structure
abc: 5.2499 7.4497 5.0927
angles: 90.00 90.00 90.00
Space group Pnma (No. 62)
Unique sites:
1 Mg 0.0550 0.2500 0.0087
2 V 0.0000 0.0000 0.5000
3 O 0.0615 0.7500 0.3753
4 O 0.1939 0.5643 0.8226

The 10 most intense peaks (2θ from 15° to 90°), in order of rising 2θ:
| d [Å] | 2θ/deg | Rel. int. |
| --- | --- | --- |
| 3.725 | 23.89 | 18.4 |
| 3.655 | 24.35 | 37.4 |
| 2.625 | 34.16 | 22.7 |
| 2.609 | 34.37 | 100.0 |
| 2.546 | 35.25 | 20.0 |
| 1.862 | 48.90 | 19.3 |
| 1.828 | 49.90 | 31.6 |
| 1.519 | 61.00 | 15.2 |
| 1.512 | 61.29 | 20.2 |
| 1.482 | 62.69 | 34.0 |



No. 4
Structure and theoretical X-ray powder pattern of RbFeO2 (a structure optimized by DFT (PBE+U); Cu Kα (λ = 1.5418 Å)).
Kinematic intensities with the Lorentz-polarization factor, no thermal factor.

Crystal structure
abc: 5.9619 8.1205 5.9320
angles: 90.00 90.00 90.00
Space group Pna2_1 (No. 33)
Unique sites:
1 Rb 0.0635 0.1223 0.0000
2 Fe 0.0469 0.6263 0.0134
3 O 0.0071 0.5488 0.3112
4 O 0.1516 0.1943 0.4720

The 10 most intense peaks (2θ from 15° to 90°), in order of rising 2θ:
| d [Å] | 2θ/deg | Rel. int. |
| --- | --- | --- |
| 3.356 | 26.56 | 16.5 |
| 2.981 | 29.98 | 24.1 |
| 2.966 | 30.13 | 35.9 |
| 2.921 | 30.61 | 100.0 |
| 2.664 | 33.65 | 14.9 |
| 2.103 | 43.02 | 10.1 |
| 1.785 | 51.18 | 11.7 |
| 1.704 | 53.81 | 22.5 |
| 1.676 | 54.76 | 18.2 |
| 1.529 | 60.54 | 13.3 |



No. 5
Structure and theoretical X-ray powder pattern of Li2Ni3SnO8 (a structure optimized by DFT (PBE+U); Cu Kα (λ = 1.5418 Å)).
Kinematic intensities with the Lorentz-polarization factor, no thermal factor.

Crystal structure
abc: 8.4153 8.4153 8.1347
angles: 90.00 90.00 90.00
Space group P4_32_12 (No. 96)
Unique sites:
1 Li 0.9999 0.2489 0.3726
2 Ni 0.1204 0.6250 0.5097
3 Ni 0.1305 0.1305 0.0000
4 Sn 0.1269 0.8731 0.2500
5 O 0.0957 0.8672 0.5023
6 O 0.1154 0.3578 0.9899
7 O 0.1182 0.6279 0.2773
8 O 0.1218 0.1450 0.7700

The 10 most intense peaks (2θ from 15° to 90°), in order of rising 2θ:
| d [Å] | 2θ/deg | Rel. int. |
| --- | --- | --- |
| 4.803 | 18.47 | 100.0 |
| 2.529 | 35.49 | 35.8 |
| 2.467 | 36.41 | 16.0 |
| 2.401 | 37.45 | 22.0 |
| 2.104 | 42.99 | 35.5 |
| 2.034 | 44.55 | 15.4 |
| 1.899 | 47.89 | 9.3 |
| 1.617 | 56.93 | 13.0 |
| 1.488 | 62.43 | 11.0 |
| 1.462 | 63.64 | 20.2 |



No. 6
Structure and theoretical X-ray powder pattern of Mn2Pt2O5 (a structure optimized by DFT (PBE+U); Cu Kα (λ = 1.5418 Å)).
Kinematic intensities with the Lorentz-polarization factor, no thermal factor.

Crystal structure
abc: 3.5628 3.5628 8.6848
angles: 90.00 90.00 90.00
Space group P4/mmm (No. 123)
Unique sites:
1 Mn 0.0000 0.0000 0.2365
2 Pt 0.5000 0.5000 0.0000
3 Pt 0.5000 0.5000 0.5000
4 O 0.0000 0.0000 0.0000
5 O 0.0000 0.5000 0.3603

The 10 most intense peaks (2θ from 15° to 90°), in order of rising 2θ:
| d [Å] | 2θ/deg | Rel. int. |
| --- | --- | --- |
| 4.342 | 20.45 | 25.5 |
| 3.563 | 24.99 | 26.5 |
| 2.754 | 32.51 | 100.0 |
| 2.519 | 35.64 | 34.1 |
| 2.179 | 41.44 | 20.7 |
| 2.171 | 41.59 | 11.1 |
| 1.781 | 51.29 | 19.5 |
| 1.645 | 55.90 | 28.7 |
| 1.496 | 62.05 | 31.4 |
| 1.377 | 68.08 | 10.6 |



No. 7
Structure and theoretical X-ray powder pattern of Li3Cr4P6O24 (a structure optimized by DFT (PBE+U); Cu Kα (λ = 1.5418 Å)).
Kinematic intensities with the Lorentz-polarization factor, no thermal factor.

Crystal structure
abc: 8.5497 8.5661 8.6431
angles: 119.06 90.23 119.76
Space group P1 (No. 1)
Unique sites:
1 Li 0.0000 0.0000 0.0000
2 Li 0.1372 0.7462 0.2187
3 Li 0.6742 0.9941 0.5034
4 Cr 0.1810 0.1762 0.4847
5 Cr 0.3851 0.5815 0.1257
6 Cr 0.6682 0.1696 0.9827
7 Cr 0.8775 0.5818 0.6288
8 P 0.0658 0.3805 0.3054
9 P 0.2788 0.1004 0.8161
10 P 0.5040 0.1014 0.3147
11 P 0.5581 0.6590 0.7982
12 P 0.7830 0.6579 0.3011
13 P 0.9874 0.3800 0.8054
14 O 0.0201 0.2510 0.6251
15 O 0.0227 0.4966 0.4807
16 O 0.0841 0.2021 0.2932
17 O 0.0944 0.8960 0.7796
18 O 0.1457 0.5133 0.9905
19 O 0.2504 0.5588 0.3091
20 O 0.2730 0.1384 0.6616
21 O 0.3013 0.2822 0.0071
22 O 0.3062 0.0597 0.3144
23 O 0.4054 0.4676 0.6054
24 O 0.4454 0.0729 0.8233
25 O 0.4857 0.8966 0.2785
26 O 0.5091 0.6105 0.9468
27 O 0.5526 0.1447 0.1637
28 O 0.5757 0.8641 0.8448
29 O 0.6294 0.7026 0.3013
30 O 0.6601 0.2839 0.5080
31 O 0.7538 0.4695 0.1098
32 O 0.7583 0.7010 0.7991
33 O 0.7893 0.6191 0.4561
34 O 0.7940 0.1995 0.7933
35 O 0.9050 0.2446 0.1169
36 O 0.9709 0.5548 0.8089
37 O 0.9780 0.8551 0.3396

The 10 most intense peaks (2θ from 15° to 90°), in order of rising 2θ:
| d [Å] | 2θ/deg | Rel. int. |
| --- | --- | --- |
| 4.359 | 20.37 | 54.8 |
| 4.320 | 20.56 | 46.2 |
| 4.283 | 20.74 | 52.4 |
| 3.698 | 24.07 | 60.8 |
| 3.667 | 24.27 | 100.0 |
| 3.652 | 24.37 | 36.8 |
| 3.076 | 29.03 | 30.9 |
| 3.045 | 29.33 | 28.8 |
| 3.033 | 29.45 | 30.1 |
| 2.763 | 32.40 | 23.7 |